For LiAg6Sn, DFT lattice parameters and positions (GGA-PBE) gives the calculated powder diffraction line list in this record (Cu Ka).
Neutral-atom scattering factors, no anomalous dispersion.

Top 10 peaks for 2θ = 5–70°, in order of rising 2θ:
- 2θ 15.5, rel. 6.9, (1 1 0)
- 2θ 20.0, rel. 1.9, (0 0 1)
- 2θ 25.4, rel. 7.2, (1 1 1)
- 2θ 37.4, rel. 100.0, (2 2 1)
- 2θ 40.6, rel. 21.3, (0 0 2)
- 2θ 44.6, rel. 14.9, (0 4 0)
- 2θ 44.9, rel. 14.5, (4 0 0)
- 2θ 61.9, rel. 11.6, (0 4 2)
- 2θ 62.1, rel. 10.6, (4 0 2)
- 2θ 65.1, rel. 9.2, (4 4 0)

Crystal structure
```
data_LiAg6Sn
_chemical_formula_sum 'Li2 Ag12 Sn2'
_cell_length_a 8.0725
_cell_length_b 8.1287
_cell_length_c 4.4456
_cell_angle_alpha 90.00
_cell_angle_beta 90.00
_cell_angle_gamma 90.00
_space_group_name_H-M_alt 'C m m m'
_space_group_IT_number 65
_space_group_name_Hall '-C 2 2'
loop_
_atom_site_label
_atom_site_type_symbol
_atom_site_fract_x
_atom_site_fract_y
_atom_site_fract_z
_atom_site_occupancy
Li1 Li 0.0000 0.0000 0.0000 1
Ag1 Ag 0.0000 0.2468 0.5000 1
Ag2 Ag 0.2436 0.0000 0.5000 1
Ag3 Ag 0.2500 0.2500 0.0000 1
Sn1 Sn 0.0000 0.5000 0.0000 1
```

For Sr2LiAg6Sn, DFT lattice parameters and positions (GGA-PBE) gives the calculated powder diffraction line list in this record (Cu Ka).
Neutral-atom scattering factors, no anomalous dispersion.

Top 10 peaks for 2θ = 5–70°, in order of rising 2θ:
- 2θ 13.3, rel. 41.3, (0 1 0)
- 2θ 18.7, rel. 23.0, (0 1 1)
- 2θ 26.4, rel. 47.1, (1 -1 0)
- 2θ 26.9, rel. 19.4, (0 2 0)
- 2θ 37.0, rel. 100.0, (2 2 0)
- 2θ 37.6, rel. 33.2, (1 1 3)
- 2θ 38.0, rel. 44.4, (0 2 2)
- 2θ 38.2, rel. 47.4, (0 2 -2)
- 2θ 41.6, rel. 23.2, (2 1 3)
- 2θ 41.9, rel. 19.6, (2 3 1)

Crystal structure
```
data_Sr2LiAg6Sn
_chemical_formula_sum 'Sr2 Li1 Ag6 Sn1'
_cell_length_a 5.6725
_cell_length_b 7.2184
_cell_length_c 7.3035
_cell_angle_alpha 80.96
_cell_angle_beta 67.22
_cell_angle_gamma 66.88
_space_group_name_H-M_alt 'P -1'
_space_group_IT_number 2
_space_group_name_Hall '-P 1'
loop_
_atom_site_label
_atom_site_type_symbol
_atom_site_fract_x
_atom_site_fract_y
_atom_site_fract_z
_atom_site_occupancy
Sr1 Sr 0.0326 0.2274 0.2077 1
Li1 Li 0.5000 0.0000 0.5000 1
Ag1 Ag 0.0114 0.2394 0.7402 1
Ag2 Ag 0.3334 0.4127 0.4210 1
Ag3 Ag 0.4926 0.7607 0.2588 1
Sn1 Sn 0.5000 0.5000 0.0000 1
```

Repeat the first record exactly.
For LiAg6Sn, DFT lattice parameters and positions (GGA-PBE) gives the calculated powder diffraction line list in this record (Cu Ka).
Neutral-atom scattering factors, no anomalous dispersion.

Top 10 peaks for 2θ = 5–70°, in order of rising 2θ:
- 2θ 15.5, rel. 6.9, (1 1 0)
- 2θ 20.0, rel. 1.9, (0 0 1)
- 2θ 25.4, rel. 7.2, (1 1 1)
- 2θ 37.4, rel. 100.0, (2 2 1)
- 2θ 40.6, rel. 21.3, (0 0 2)
- 2θ 44.6, rel. 14.9, (0 4 0)
- 2θ 44.9, rel. 14.5, (4 0 0)
- 2θ 61.9, rel. 11.6, (0 4 2)
- 2θ 62.1, rel. 10.6, (4 0 2)
- 2θ 65.1, rel. 9.2, (4 4 0)

Crystal structure
```
data_LiAg6Sn
_chemical_formula_sum 'Li2 Ag12 Sn2'
_cell_length_a 8.0725
_cell_length_b 8.1287
_cell_length_c 4.4456
_cell_angle_alpha 90.00
_cell_angle_beta 90.00
_cell_angle_gamma 90.00
_space_group_name_H-M_alt 'C m m m'
_space_group_IT_number 65
_space_group_name_Hall '-C 2 2'
loop_
_atom_site_label
_atom_site_type_symbol
_atom_site_fract_x
_atom_site_fract_y
_atom_site_fract_z
_atom_site_occupancy
Li1 Li 0.0000 0.0000 0.0000 1
Ag1 Ag 0.0000 0.2468 0.5000 1
Ag2 Ag 0.2436 0.0000 0.5000 1
Ag3 Ag 0.2500 0.2500 0.0000 1
Sn1 Sn 0.0000 0.5000 0.0000 1
```